[1]
# K6Rb12Au
Calculated XRD peak list, a wavelength of 1.5418 Å. Input: DFT lattice parameters and positions (PBE).

Main lines, by angle (2θ = 10–80°):
2θ/deg, I_rel
16.30, 15
18.71, 16
22.18, 17
23.62, 100
30.61, 28
36.47, 28
39.81, 23
43.11, 18
43.92, 17
58.38, 15

Structure:
```
K6Rb12Au
1.0
7.389 4.266 8.015
-7.389 4.266 8.015
0.000 -8.532 8.015
K Rb Au
6 12 1
Direct
0.132 0.814 0.814 K
0.186 0.186 0.868 K
0.186 0.868 0.186 K
0.814 0.132 0.814 K
0.814 0.814 0.132 K
0.868 0.186 0.186 K
0.136 0.136 0.476 Rb
0.136 0.476 0.136 Rb
0.193 0.531 0.531 Rb
0.469 0.469 0.807 Rb
0.469 0.807 0.469 Rb
0.476 0.136 0.136 Rb
0.524 0.864 0.864 Rb
0.531 0.193 0.531 Rb
0.531 0.531 0.193 Rb
0.807 0.469 0.469 Rb
0.864 0.524 0.864 Rb
0.864 0.864 0.524 Rb
0.000 0.000 0.000 Au
```

[2]
# PmAg2Bi2
Calculated XRD peak list, a wavelength of 1.5418 Å. Input: DFT lattice parameters and positions (PBE).

Main lines, by angle (2θ = 10–80°):
2θ/deg, I_rel
29.55, 28
29.59, 14
33.15, 100
38.99, 23
39.14, 23
56.43, 16
57.05, 8
65.04, 11
66.93, 13
67.14, 13

Structure:
```
PmAg2Bi2
1.0
2.310 -12.076 0.000
2.310 12.076 0.000
0.000 0.000 4.603
Pm Ag Bi
2 4 4
Direct
0.144 0.856 0.750 Pm
0.856 0.144 0.250 Pm
0.036 0.964 0.250 Ag
0.464 0.536 0.250 Ag
0.536 0.464 0.750 Ag
0.964 0.036 0.750 Ag
0.250 0.750 0.250 Bi
0.384 0.616 0.750 Bi
0.616 0.384 0.250 Bi
0.750 0.250 0.750 Bi
```

[3]
# Tb2YO4
Calculated XRD peak list, a wavelength of 1.5418 Å. Input: DFT lattice parameters and positions (PBE).

Main lines, by angle (2θ = 10–80°):
2θ/deg, I_rel
16.72, 33
28.94, 28
29.97, 100
30.29, 35
34.22, 19
36.37, 36
47.36, 19
48.70, 18
53.03, 11
53.62, 20

Structure:
```
Tb2YO4
1.0
5.973 -1.727 0.000
5.973 1.727 0.000
-2.718 0.000 5.242
Tb Y O
2 1 4
Direct
0.201 0.201 0.201 Tb
0.799 0.799 0.799 Tb
0.500 0.500 0.500 Y
0.146 0.146 0.521 O
0.366 0.366 0.074 O
0.634 0.634 0.926 O
0.854 0.854 0.479 O
```

[4]
# Na3Nd5Cl15
Calculated XRD peak list, a wavelength of 1.5418 Å. Input: DFT lattice parameters and positions (PBE).

Main lines, by angle (2θ = 10–80°):
2θ/deg, I_rel
10.67, 100
15.47, 31
21.56, 25
23.65, 20
26.61, 22
28.91, 27
32.61, 44
34.72, 18
38.91, 24
39.94, 19

Structure:
```
Na3Nd5Cl15
1.0
9.031 0.000 0.000
1.184 8.999 0.000
2.759 2.482 15.427
Na Nd Cl
6 10 30
Direct
0.027 0.087 0.297 Na
0.359 0.306 0.315 Na
0.424 0.484 0.897 Na
0.576 0.516 0.103 Na
0.641 0.694 0.685 Na
0.973 0.913 0.703 Na
0.066 0.715 0.175 Nd
0.140 0.480 0.623 Nd
0.263 0.919 0.977 Nd
0.334 0.687 0.423 Nd
0.467 0.113 0.779 Nd
0.533 0.887 0.221 Nd
0.666 0.313 0.577 Nd
0.737 0.081 0.023 Nd
0.860 0.520 0.377 Nd
0.934 0.285 0.825 Nd
0.035 0.185 0.990 Cl
0.036 0.772 0.350 Cl
0.080 0.394 0.245 Cl
0.124 0.795 0.560 Cl
0.161 0.018 0.808 Cl
0.167 0.430 0.449 Cl
0.233 0.972 0.153 Cl
0.237 0.387 0.794 Cl
0.287 0.597 0.042 Cl
0.316 0.008 0.356 Cl
0.367 0.216 0.613 Cl
0.371 0.621 0.247 Cl
0.434 0.172 0.954 Cl
0.443 0.585 0.591 Cl
0.470 0.790 0.837 Cl
0.530 0.210 0.163 Cl
0.557 0.415 0.409 Cl
0.566 0.828 0.046 Cl
0.629 0.379 0.753 Cl
0.633 0.784 0.387 Cl
0.684 0.992 0.644 Cl
0.713 0.403 0.958 Cl
0.763 0.613 0.206 Cl
0.767 0.028 0.847 Cl
0.833 0.570 0.551 Cl
0.839 0.982 0.192 Cl
0.876 0.205 0.440 Cl
0.920 0.606 0.755 Cl
0.964 0.228 0.650 Cl
0.965 0.815 0.010 Cl
```

[5]
# LiMn2Hg
Calculated XRD peak list, a wavelength of 1.5418 Å. Input: DFT lattice parameters and positions (PBE).

Main lines, by angle (2θ = 10–80°):
2θ/deg, I_rel
14.10, 100
27.82, 45
28.42, 50
28.66, 42
31.32, 49
32.08, 47
40.20, 82
40.37, 89
40.81, 79
50.11, 43

Structure:
```
LiMn2Hg
1.0
3.114 0.000 0.000
0.000 3.206 0.000
0.000 0.000 6.280
Li Mn Hg
1 2 1
Direct
0.000 0.000 0.000 Li
0.000 0.000 0.447 Mn
0.500 0.500 0.274 Mn
0.500 0.500 0.752 Hg
```

[6]
# LiCe2Te3
Calculated XRD peak list, a wavelength of 1.5418 Å. Input: DFT lattice parameters and positions (PBE).

Main lines, by angle (2θ = 10–80°):
2θ/deg, I_rel
15.47, 14
28.00, 14
28.18, 52
28.43, 100
40.44, 96
40.87, 19
49.98, 20
50.38, 21
66.08, 18
66.47, 17

Structure:
```
LiCe2Te3
1.0
-2.208 3.167 6.698
2.208 -3.167 6.698
2.208 3.167 -6.698
Li Ce Te
1 2 3
Direct
0.000 0.000 0.000 Li
0.331 0.331 0.000 Ce
0.669 0.669 0.000 Ce
0.157 0.657 0.500 Te
0.500 0.000 0.500 Te
0.843 0.343 0.500 Te
```

[7]
# Cu4SI3
Calculated XRD peak list, a wavelength of 1.5418 Å. Input: DFT lattice parameters and positions (PBE).

Main lines, by angle (2θ = 10–80°):
2θ/deg, I_rel
17.00, 71
23.24, 36
25.00, 62
27.99, 100
34.40, 41
35.73, 29
43.88, 59
45.92, 51
51.28, 29
57.82, 29

Structure:
```
Cu4SI3
1.0
-3.562 4.028 3.827
3.562 -4.028 3.827
3.562 4.028 -3.827
Cu S I
4 1 3
Direct
0.166 0.000 0.166 Cu
0.713 0.020 0.307 Cu
0.713 0.407 0.693 Cu
0.834 0.000 0.834 Cu
0.776 0.776 0.000 S
0.087 0.323 0.764 I
0.392 0.892 0.500 I
0.560 0.323 0.236 I
```

[8]
# Pr3Dy4Tm4
Calculated XRD peak list, a wavelength of 1.5418 Å. Input: DFT lattice parameters and positions (PBE).

Main lines, by angle (2θ = 10–80°):
2θ/deg, I_rel
30.69, 100
35.51, 34
35.72, 17
51.06, 6
51.13, 6
51.25, 24
60.79, 28
61.06, 14
63.87, 6
63.93, 6

Structure:
```
Pr3Dy4Tm4
1.0
19.810 -1.789 0.000
19.810 1.789 0.000
-0.637 0.000 4.987
Pr Dy Tm
3 4 4
Direct
0.000 0.000 0.000 Pr
0.363 0.363 0.363 Pr
0.637 0.637 0.637 Pr
0.184 0.184 0.183 Dy
0.454 0.454 0.454 Dy
0.546 0.546 0.546 Dy
0.816 0.816 0.817 Dy
0.091 0.091 0.091 Tm
0.272 0.272 0.272 Tm
0.728 0.728 0.728 Tm
0.909 0.909 0.909 Tm
```